Ti8InCo3NiSn3: simulated X-ray diffraction stick pattern (Cu Kα (λ = 1.5418 Å)), based on a DFT-relaxed cell (PBE, Alexandria).
Intensities are scaled so that the largest is 100.

Cell: 15.439 15.439 15.439 Å, 16.79 16.79 16.79°
Positions (direct):
Ti (0.000, 0.000, 0.000)
Ti (0.123, 0.123, 0.123)
Ti (0.250, 0.250, 0.250)
Ti (0.373, 0.373, 0.373)
Ti (0.500, 0.500, 0.500)
Ti (0.622, 0.622, 0.622)
Ti (0.750, 0.750, 0.750)
Ti (0.874, 0.874, 0.874)
In (0.812, 0.812, 0.812)
Co (0.448, 0.448, 0.448)
Co (0.673, 0.673, 0.673)
Co (0.936, 0.936, 0.936)
Ni (0.178, 0.178, 0.178)
Sn (0.061, 0.061, 0.061)
Sn (0.311, 0.311, 0.311)
Sn (0.561, 0.561, 0.561)

Peak list (10 most intense, 10° ≤ 2θ ≤ 90°, sorted by position)
2θ/deg, d_spacing, I/Imax
24.1, 3.693, 18
27.7, 3.222, 22
39.1, 2.304, 87
40.0, 2.253, 100
46.1, 1.970, 10
57.2, 1.611, 27
70.2, 1.340, 10
72.1, 1.310, 27
72.7, 1.301, 16
86.3, 1.127, 10